(1)
# TiAl2
Simulated powder diffractogram, Cu Kα X-rays. Input: a crystal structure in the Materials Project, relaxed with GGA-PBE.

Principal peaks in the range 2θ from 10° to 80°, by intensity:
- 39.05 deg, I 100
- 45.30 deg, I 16
- 44.73 deg, I 15
- 46.18 deg, I 15
- 79.43 deg, I 11
- 66.68 deg, I 10
- 78.61 deg, I 10
- 65.55 deg, I 9
- 66.24 deg, I 9
- 22.20 deg, I 5

Atomic structure:
abc: 6.3886 6.3886 4.0039
angles: 90.00 90.00 144.16
Positions (direct):
Ti 0.1560 0.8440 0.0000
Ti 0.8440 0.1560 0.0000
Al 0.0000 0.0000 0.5000
Al 0.3271 0.6729 0.5000
Al 0.5000 0.5000 0.0000
Al 0.6729 0.3271 0.5000

***

(2)
# Er3Mn3Ga2Ge
Simulated powder diffractogram, Cu Kα X-rays. Input: a crystal structure in the Materials Project, relaxed with GGA-PBE.

Principal peaks in the range 2θ from 10° to 80°, by intensity:
- 33.58 deg, I 100
- 36.71 deg, I 93
- 38.75 deg, I 39
- 58.76 deg, I 32
- 44.78 deg, I 25
- 29.05 deg, I 22
- 25.09 deg, I 22
- 60.68 deg, I 20
- 70.73 deg, I 20
- 53.76 deg, I 19

Atomic structure:
abc: 7.0993 7.0993 4.0482
angles: 90.00 90.00 120.00
Positions (direct):
Er 0.0000 0.4133 0.0000
Er 0.4133 0.0000 0.0000
Er 0.5867 0.5867 0.0000
Mn 0.0000 0.7665 0.5000
Mn 0.2335 0.2335 0.5000
Mn 0.7665 0.0000 0.5000
Ga 0.3333 0.6667 0.5000
Ga 0.6667 0.3333 0.5000
Ge 0.0000 0.0000 0.0000

***

(3)
# Ba2MgReO6
Simulated powder diffractogram, Cu Kα X-rays. Input: a crystal structure in the Materials Project, relaxed with GGA-PBE.

Principal peaks in the range 2θ from 10° to 80°, by intensity:
- 30.91 deg, I 100
- 54.97 deg, I 40
- 18.78 deg, I 31
- 44.27 deg, I 31
- 64.41 deg, I 19
- 73.14 deg, I 18
- 36.41 deg, I 16
- 48.49 deg, I 7
- 58.62 deg, I 6
- 67.74 deg, I 6

Atomic structure:
abc: 5.7864 5.7864 5.7864
angles: 60.00 60.00 60.00
Positions (direct):
Ba 0.2500 0.2500 0.2500
Ba 0.7500 0.7500 0.7500
Mg 0.0000 0.0000 0.0000
Re 0.5000 0.5000 0.5000
O 0.2612 0.2612 0.7388
O 0.2612 0.7388 0.2612
O 0.2612 0.7388 0.7388
O 0.7388 0.2612 0.2612
O 0.7388 0.2612 0.7388
O 0.7388 0.7388 0.2612

***

(4)
# Y3Ru2
Simulated powder diffractogram, Cu Kα X-rays. Input: a crystal structure in the Materials Project, relaxed with GGA-PBE.

Principal peaks in the range 2θ from 10° to 80°, by intensity:
- 30.03 deg, I 100
- 33.00 deg, I 79
- 40.92 deg, I 67
- 35.91 deg, I 50
- 64.48 deg, I 45
- 40.78 deg, I 41
- 40.37 deg, I 34
- 53.20 deg, I 32
- 23.29 deg, I 24
- 64.15 deg, I 22

Atomic structure:
abc: 7.6397 7.6397 4.7475
angles: 90.00 90.00 120.00
Positions (direct):
Y 0.0782 0.3830 0.2500
Y 0.3048 0.9218 0.2500
Y 0.3830 0.3048 0.7500
Y 0.6170 0.6952 0.2500
Y 0.6952 0.0782 0.7500
Y 0.9218 0.6170 0.7500
Ru 0.0000 0.0000 0.0000
Ru 0.0000 0.0000 0.5000
Ru 0.3333 0.6667 0.7500
Ru 0.6667 0.3333 0.2500

***

(5)
# K2RbInCl6
Simulated powder diffractogram, Cu Kα X-rays. Input: a crystal structure in the Materials Project, relaxed with GGA-PBE.

Principal peaks in the range 2θ from 10° to 80°, by intensity:
- 31.88 deg, I 100
- 22.39 deg, I 98
- 15.78 deg, I 92
- 45.71 deg, I 64
- 35.76 deg, I 41
- 39.31 deg, I 40
- 61.83 deg, I 25
- 51.47 deg, I 24
- 75.77 deg, I 23
- 48.65 deg, I 21

Atomic structure:
abc: 7.9398 7.9398 7.9398
angles: 60.00 60.00 60.00
Positions (direct):
K 0.2500 0.2500 0.2500
K 0.7500 0.7500 0.7500
Rb 0.0000 0.0000 0.0000
In 0.5000 0.5000 0.5000
Cl 0.2740 0.2740 0.7260
Cl 0.2740 0.7260 0.2740
Cl 0.2740 0.7260 0.7260
Cl 0.7260 0.2740 0.2740
Cl 0.7260 0.2740 0.7260
Cl 0.7260 0.7260 0.2740

***

(6)
# Al12Co4Cu
Simulated powder diffractogram, Cu Kα X-rays. Input: a crystal structure in the Materials Project, relaxed with GGA-PBE.

Principal peaks in the range 2θ from 10° to 80°, by intensity:
- 43.73 deg, I 100
- 45.13 deg, I 94
- 44.65 deg, I 65
- 44.92 deg, I 52
- 25.36 deg, I 31
- 22.15 deg, I 25
- 24.58 deg, I 20
- 26.87 deg, I 19
- 27.56 deg, I 18
- 46.18 deg, I 18

Atomic structure:
abc: 8.6126 8.6126 12.3768
angles: 106.04 106.04 55.59
Positions (direct):
Al 0.0205 0.0205 0.1683
Al 0.0763 0.6630 0.4790
Al 0.0919 0.6501 0.1108
Al 0.1021 0.5272 0.8857
Al 0.1067 0.5354 0.6632
Al 0.1681 0.1681 0.7195
Al 0.2004 0.2004 0.2307
Al 0.2223 0.7602 0.3267
Al 0.2398 0.7777 0.6733
Al 0.2474 0.7526 0.0000
Al 0.2614 0.2614 0.0383
Al 0.2644 0.2644 0.4668
Al 0.3370 0.9237 0.5210
Al 0.3499 0.9081 0.8892
Al 0.4247 0.4247 0.4124
Al 0.4434 0.4434 0.8246
Al 0.4646 0.8933 0.3368
Al 0.4728 0.8979 0.1143
Al 0.5272 0.1021 0.8857
Al 0.5354 0.1067 0.6632
Al 0.5566 0.5566 0.1754
Al 0.5753 0.5753 0.5876
Al 0.6501 0.0919 0.1108
Al 0.6630 0.0763 0.4790
Al 0.7356 0.7356 0.5332
Al 0.7386 0.7386 0.9617
Al 0.7526 0.2474 0.0000
Al 0.7602 0.2223 0.3267
Al 0.7777 0.2398 0.6733
Al 0.7996 0.7996 0.7693
Al 0.8319 0.8319 0.2805
Al 0.8933 0.4646 0.3368
Al 0.8979 0.4728 0.1143
Al 0.9081 0.3499 0.8892
Al 0.9237 0.3370 0.5210
Al 0.9795 0.9795 0.8317
Co 0.0970 0.5388 0.2806
Co 0.1008 0.1008 0.0173
Co 0.1034 0.1034 0.3694
Co 0.4077 0.4077 0.0039
Co 0.4132 0.4132 0.6100
Co 0.4612 0.9030 0.7194
Co 0.5388 0.0970 0.2806
Co 0.5868 0.5868 0.3900
Co 0.5923 0.5923 0.9961
Co 0.8966 0.8966 0.6306
Co 0.8992 0.8992 0.9827
Co 0.9030 0.4612 0.7194
Cu 0.0000 0.0000 0.5000
Cu 0.4102 0.4102 0.2127
Cu 0.5898 0.5898 0.7873

***

(7)
# RbSn3As3
Simulated powder diffractogram, Cu Kα X-rays. Input: a crystal structure in the Materials Project, relaxed with GGA-PBE.

Principal peaks in the range 2θ from 10° to 80°, by intensity:
- 27.58 deg, I 100
- 28.03 deg, I 72
- 28.67 deg, I 55
- 43.22 deg, I 36
- 52.31 deg, I 32
- 42.78 deg, I 31
- 38.13 deg, I 28
- 24.55 deg, I 26
- 44.50 deg, I 23
- 26.53 deg, I 17

Atomic structure:
abc: 10.5316 4.1865 20.0044
angles: 90.00 90.00 90.00
Positions (direct):
Rb 0.2119 0.2500 0.0401
Rb 0.2881 0.7500 0.5401
Rb 0.7119 0.2500 0.4599
Rb 0.7881 0.7500 0.9599
Sn 0.0215 0.2500 0.6243
Sn 0.1019 0.7500 0.2414
Sn 0.1809 0.7500 0.8483
Sn 0.3191 0.2500 0.3483
Sn 0.3981 0.2500 0.7414
Sn 0.4785 0.7500 0.1243
Sn 0.5215 0.2500 0.8757
Sn 0.6019 0.7500 0.2586
Sn 0.6809 0.7500 0.6517
Sn 0.8191 0.2500 0.1517
Sn 0.8981 0.2500 0.7586
Sn 0.9785 0.7500 0.3757
As 0.0273 0.2500 0.8760
As 0.1193 0.2500 0.4279
As 0.2371 0.7500 0.7185
As 0.2629 0.2500 0.2185
As 0.3807 0.7500 0.9279
As 0.4727 0.7500 0.3760
As 0.5273 0.2500 0.6240
As 0.6193 0.2500 0.0721
As 0.7371 0.7500 0.7815
As 0.7629 0.2500 0.2815
As 0.8807 0.7500 0.5721
As 0.9727 0.7500 0.1240

***

(8)
# RbNaMg6O7
Simulated powder diffractogram, Cu Kα X-rays. Input: a crystal structure in the Materials Project, relaxed with GGA-PBE.

Principal peaks in the range 2θ from 10° to 80°, by intensity:
- 38.85 deg, I 100
- 58.72 deg, I 46
- 34.46 deg, I 44
- 42.22 deg, I 34
- 56.12 deg, I 30
- 21.80 deg, I 25
- 28.38 deg, I 22
- 72.66 deg, I 22
- 10.33 deg, I 22
- 67.54 deg, I 16

Atomic structure:
abc: 4.6355 4.6355 8.5611
angles: 90.00 90.00 90.00
Positions (direct):
Rb 0.0000 0.0000 0.0000
Na 0.5000 0.5000 0.9700
Mg 0.0000 0.0000 0.4812
Mg 0.0000 0.5000 0.2229
Mg 0.0000 0.5000 0.7257
Mg 0.5000 0.0000 0.2229
Mg 0.5000 0.0000 0.7257
Mg 0.5000 0.5000 0.4720
O 0.0000 0.0000 0.7048
O 0.0000 0.5000 0.4599
O 0.0000 0.5000 0.9820
O 0.5000 0.0000 0.4599
O 0.5000 0.0000 0.9820
O 0.5000 0.5000 0.2375
O 0.5000 0.5000 0.7038